1.
Structure and simulated X-ray diffraction stick pattern of Rb6O (a DFT-relaxed cell (GGA-PBE, the Materials Project); Cu Kα (weighted mean of Kα1 and Kα2)).

```
data_Rb6O
_chemical_formula_sum 'Rb24 O4'
_cell_length_a 8.4639
_cell_length_b 8.4639
_cell_length_c 30.8108
_cell_angle_alpha 90.00
_cell_angle_beta 90.00
_cell_angle_gamma 120.00
_space_group_name_H-M_alt 'P 63/m'
_space_group_IT_number 176
_space_group_name_Hall '-P 6c'
loop_
_atom_site_label
_atom_site_type_symbol
_atom_site_fract_x
_atom_site_fract_y
_atom_site_fract_z
Rb1 Rb 0.0000 0.0000 0.0000
Rb2 Rb 0.0695 0.6834 0.1395
Rb3 Rb 0.0806 0.4268 0.2500
Rb4 Rb 0.3333 0.6667 0.5161
O1 O 0.3333 0.6667 0.1870
```

Principal peaks in the range 2θ from 15° to 90°, by angle:
Position (°2θ), intensity
21.78, 643
22.73, 597
23.09, 501
23.99, 540
25.53, 1000
34.40, 492
35.90, 206
36.06, 287
36.82, 505
43.78, 219


2.
Structure and simulated X-ray diffraction stick pattern of La5Sb3Br (a DFT-relaxed cell (GGA-PBE, the Materials Project); Cu Kα (weighted mean of Kα1 and Kα2)).

```
data_La5Sb3Br
_chemical_formula_sum 'La10 Sb6 Br2'
_cell_length_a 9.6708
_cell_length_b 9.6708
_cell_length_c 6.8023
_cell_angle_alpha 90.00
_cell_angle_beta 90.00
_cell_angle_gamma 120.00
_space_group_name_H-M_alt 'P 63/m c m'
_space_group_IT_number 193
_space_group_name_Hall '-P 6c 2'
loop_
_atom_site_label
_atom_site_type_symbol
_atom_site_fract_x
_atom_site_fract_y
_atom_site_fract_z
La1 La 0.0000 0.2747 0.2500
La2 La 0.3333 0.6667 0.0000
Sb1 Sb 0.0000 0.3830 0.7500
Br1 Br 0.0000 0.0000 0.0000
```

Principal peaks in the range 2θ from 15° to 90°, by angle:
Position (°2θ), intensity
31.16, 559
32.06, 807
32.18, 1000
41.06, 153
46.06, 272
49.28, 112
49.44, 153
57.21, 221
60.01, 113
64.12, 215


3.
Structure and simulated X-ray diffraction stick pattern of SrInAu (a DFT-relaxed cell (GGA-PBE, the Materials Project); Cu Kα (weighted mean of Kα1 and Kα2)).

```
data_SrInAu
_chemical_formula_sum 'Sr4 In4 Au4'
_cell_length_a 7.7778
_cell_length_b 4.8574
_cell_length_c 8.6270
_cell_angle_alpha 90.00
_cell_angle_beta 90.00
_cell_angle_gamma 90.00
_space_group_name_H-M_alt 'P n m a'
_space_group_IT_number 62
loop_
_space_group_symop_operation_xyz
'x,y,z'
'-x,-y,-z'
'-x+1/2,-y,z+1/2'
'x+1/2,y,-z+1/2'
'x+1/2,-y+1/2,-z+1/2'
'-x+1/2,y+1/2,z+1/2'
'-x,y+1/2,-z'
'x,-y+1/2,z'
loop_
_atom_site_label
_atom_site_type_symbol
_atom_site_fract_x
_atom_site_fract_y
_atom_site_fract_z
Sr1 Sr 0.0226 0.2500 0.1853
In1 In 0.1580 0.2500 0.5679
Au1 Au 0.2174 0.7500 0.3862
```

Principal peaks in the range 2θ from 15° to 90°, by angle:
Position (°2θ), intensity
20.99, 259
23.58, 246
29.99, 546
31.23, 1000
36.18, 385
36.30, 682
37.01, 552
38.16, 264
43.34, 250
52.72, 241


4.
Structure and simulated X-ray diffraction stick pattern of SrGa2Si2O8 (a DFT-relaxed cell (GGA-PBE, the Materials Project); Cu Kα (weighted mean of Kα1 and Kα2)).

```
data_SrGa2Si2O8
_chemical_formula_sum 'Sr4 Ga8 Si8 O32'
_cell_length_a 8.5043
_cell_length_b 9.6177
_cell_length_c 9.1356
_cell_angle_alpha 90.00
_cell_angle_beta 90.68
_cell_angle_gamma 90.00
_space_group_name_H-M_alt 'P 1 21/c 1'
_space_group_IT_number 14
loop_
_space_group_symop_operation_xyz
'x,y,z'
'-x,-y,-z'
'-x,y+1/2,-z+1/2'
'x,-y+1/2,z+1/2'
loop_
_atom_site_label
_atom_site_type_symbol
_atom_site_fract_x
_atom_site_fract_y
_atom_site_fract_z
Sr1 Sr 0.2485 0.0854 0.1110
Ga1 Ga 0.0731 0.6905 0.0544
Ga2 Ga 0.4301 0.0760 0.7259
Si1 Si 0.0597 0.0826 0.7419
Si2 Si 0.4458 0.7014 0.0630
O1 O 0.0114 0.0681 0.3100
O2 O 0.0591 0.6284 0.6250
O3 O 0.0635 0.1942 0.6062
O4 O 0.2363 0.0758 0.8183
O5 O 0.2744 0.6462 0.0071
O6 O 0.4270 0.1990 0.5718
O7 O 0.4384 0.6364 0.6217
O8 O 0.4843 0.0973 0.3070
```

Principal peaks in the range 2θ from 15° to 90°, by angle:
Position (°2θ), intensity
20.89, 371
21.98, 1000
23.43, 632
24.98, 495
26.92, 662
29.58, 564
29.78, 593
32.71, 271
34.17, 326
34.87, 381


5.
Structure and simulated X-ray diffraction stick pattern of PrSmSeS (a DFT-relaxed cell (GGA-PBE, the Materials Project); Cu Kα (weighted mean of Kα1 and Kα2)).

```
data_PrSmSeS
_chemical_formula_sum 'Pr1 Sm1 Se1 S1'
_cell_length_a 4.1488
_cell_length_b 4.1488
_cell_length_c 5.8522
_cell_angle_alpha 90.00
_cell_angle_beta 90.00
_cell_angle_gamma 90.00
_space_group_name_H-M_alt 'P 4/m m m'
_space_group_IT_number 123
_space_group_name_Hall '-P 4 2'
loop_
_atom_site_label
_atom_site_type_symbol
_atom_site_fract_x
_atom_site_fract_y
_atom_site_fract_z
Pr1 Pr 0.0000 0.0000 0.0000
Sm1 Sm 0.5000 0.5000 0.5000
Se1 Se 0.5000 0.5000 0.0000
S1 S 0.0000 0.0000 0.5000
```

Principal peaks in the range 2θ from 15° to 90°, by angle:
Position (°2θ), intensity
26.33, 368
30.50, 1000
43.67, 737
51.68, 123
54.20, 258
63.41, 80
72.00, 220
72.15, 109
80.18, 165
80.30, 82


6.
Structure and simulated X-ray diffraction stick pattern of Tm2Ga10Os3 (a DFT-relaxed cell (GGA-PBE, the Materials Project); Cu Kα (weighted mean of Kα1 and Kα2)).

```
data_Tm2Ga10Os3
_chemical_formula_sum 'Tm4 Ga20 Os6'
_cell_length_a 8.9100
_cell_length_b 8.9100
_cell_length_c 6.3854
_cell_angle_alpha 90.00
_cell_angle_beta 90.00
_cell_angle_gamma 90.00
_space_group_name_H-M_alt 'P 4/m b m'
_space_group_IT_number 127
_space_group_name_Hall '-P 4 2ab'
loop_
_atom_site_label
_atom_site_type_symbol
_atom_site_fract_x
_atom_site_fract_y
_atom_site_fract_z
Tm1 Tm 0.1831 0.3169 0.0000
Ga1 Ga 0.0000 0.5000 0.2822
Ga2 Ga 0.0613 0.7931 0.2923
Os1 Os 0.0000 0.0000 0.0000
Os2 Os 0.1785 0.3215 0.5000
```

Principal peaks in the range 2θ from 15° to 90°, by angle:
Position (°2θ), intensity
19.80, 219
22.31, 549
36.05, 1000
40.22, 427
41.80, 908
42.81, 939
43.07, 277
45.51, 242
68.02, 220
73.80, 221


7.
Structure and simulated X-ray diffraction stick pattern of Si2NiP3 (a DFT-relaxed cell (GGA-PBE, the Materials Project); Cu Kα (weighted mean of Kα1 and Kα2)).

```
data_Si2NiP3
_chemical_formula_sum 'Si4 Ni2 P6'
_cell_length_a 3.5172
_cell_length_b 11.1541
_cell_length_c 5.3275
_cell_angle_alpha 90.00
_cell_angle_beta 90.00
_cell_angle_gamma 90.00
_space_group_name_H-M_alt 'I m m 2'
_space_group_IT_number 44
loop_
_space_group_symop_operation_xyz
'x,y,z'
'-x,-y,z'
'-x,y,z'
'x,-y,z'
'x+1/2,y+1/2,z+1/2'
'-x+1/2,-y+1/2,z+1/2'
'-x+1/2,y+1/2,z+1/2'
'x+1/2,-y+1/2,z+1/2'
loop_
_atom_site_label
_atom_site_type_symbol
_atom_site_fract_x
_atom_site_fract_y
_atom_site_fract_z
Si1 Si 0.0000 0.1652 0.0000
Ni1 Ni 0.0000 0.5000 0.0099
P1 P 0.0000 0.0000 0.7538
P2 P 0.0000 0.3379 0.7692
```

Principal peaks in the range 2θ from 15° to 90°, by angle:
Position (°2θ), intensity
15.89, 146
18.46, 196
29.29, 1000
30.45, 999
49.00, 222
49.43, 863
52.00, 186
57.51, 158
58.80, 270
60.80, 220


8.
Structure and simulated X-ray diffraction stick pattern of V4GaS8 (a DFT-relaxed cell (GGA-PBE, the Materials Project); Cu Kα (weighted mean of Kα1 and Kα2)).

```
data_V4GaS8
_chemical_formula_sum 'V16 Ga4 S32'
_cell_length_a 9.7296
_cell_length_b 9.7296
_cell_length_c 9.7296
_cell_angle_alpha 90.00
_cell_angle_beta 90.00
_cell_angle_gamma 90.00
_space_group_name_H-M_alt 'F -4 3 m'
_space_group_IT_number 216
_space_group_name_Hall 'F -4 2 3'
loop_
_atom_site_label
_atom_site_type_symbol
_atom_site_fract_x
_atom_site_fract_y
_atom_site_fract_z
V1 V 0.1059 0.1059 0.3941
Ga1 Ga 0.0000 0.0000 0.0000
S1 S 0.1289 0.1289 0.6289
S2 S 0.1366 0.1366 0.1366
```

Principal peaks in the range 2θ from 15° to 90°, by angle:
Position (°2θ), intensity
15.78, 355
18.24, 371
25.90, 275
30.47, 931
36.96, 887
40.41, 240
45.68, 321
48.63, 629
53.26, 1000
84.49, 187


9.
Structure and simulated X-ray diffraction stick pattern of KRbMg6O7 (a DFT-relaxed cell (GGA-PBE, the Materials Project); Cu Kα (weighted mean of Kα1 and Kα2)).

```
data_KRbMg6O7
_chemical_formula_sum 'K1 Rb1 Mg6 O7'
_cell_length_a 4.2936
_cell_length_b 4.2936
_cell_length_c 11.3993
_cell_angle_alpha 90.00
_cell_angle_beta 90.00
_cell_angle_gamma 90.00
_space_group_name_H-M_alt 'P 4 m m'
_space_group_IT_number 99
loop_
_space_group_symop_operation_xyz
'x,y,z'
'-y,x,z'
'-x,-y,z'
'y,-x,z'
'-x,y,z'
'y,x,z'
'x,-y,z'
'-y,-x,z'
loop_
_atom_site_label
_atom_site_type_symbol
_atom_site_fract_x
_atom_site_fract_y
_atom_site_fract_z
K1 K 0.0000 0.0000 0.0000
Rb1 Rb 0.5000 0.5000 0.9752
Mg1 Mg 0.0000 0.0000 0.4835
Mg2 Mg 0.0000 0.5000 0.2684
Mg3 Mg 0.0000 0.5000 0.6773
Mg4 Mg 0.5000 0.5000 0.5019
O1 O 0.0000 0.0000 0.3081
O2 O 0.0000 0.0000 0.6928
O3 O 0.0000 0.5000 0.1044
O4 O 0.0000 0.5000 0.4954
O5 O 0.5000 0.5000 0.6872
```

Principal peaks in the range 2θ from 15° to 90°, by angle:
Position (°2θ), intensity
15.55, 491
22.12, 255
23.41, 305
30.47, 369
31.40, 431
33.44, 940
42.09, 1000
50.05, 307
53.44, 331
61.04, 290


10.
Structure and simulated X-ray diffraction stick pattern of PrH3O3 (a DFT-relaxed cell (GGA-PBE, the Materials Project); Cu Kα (weighted mean of Kα1 and Kα2)).

```
data_PrH3O3
_chemical_formula_sum 'Pr2 H6 O6'
_cell_length_a 6.5557
_cell_length_b 3.7388
_cell_length_c 6.5767
_cell_angle_alpha 90.00
_cell_angle_beta 118.98
_cell_angle_gamma 90.00
_space_group_name_H-M_alt 'P 1 21/m 1'
_space_group_IT_number 11
loop_
_space_group_symop_operation_xyz
'x,y,z'
'-x,-y,-z'
'-x,y+1/2,-z'
'x,-y+1/2,z'
loop_
_atom_site_label
_atom_site_type_symbol
_atom_site_fract_x
_atom_site_fract_y
_atom_site_fract_z
Pr1 Pr 0.1713 0.2500 0.3328
H1 H 0.2051 0.2500 0.8531
H2 H 0.3406 0.7500 0.7018
H3 H 0.3573 0.7500 0.1235
O1 O 0.1011 0.2500 0.6860
O2 O 0.1917 0.7500 0.0771
O3 O 0.4127 0.7500 0.6027
```

Principal peaks in the range 2θ from 15° to 90°, by angle:
Position (°2θ), intensity
15.42, 972
15.67, 531
26.74, 362
27.17, 693
28.48, 1000
28.62, 470
39.57, 707
39.97, 379
48.30, 480
48.69, 365


11.
Structure and simulated X-ray diffraction stick pattern of Ca2Si5Pt3 (a DFT-relaxed cell (GGA-PBE, the Materials Project); Cu Kα (weighted mean of Kα1 and Kα2)).

```
data_Ca2Si5Pt3
_chemical_formula_sum 'Ca8 Si20 Pt12'
_cell_length_a 10.0804
_cell_length_b 11.6297
_cell_length_c 5.9828
_cell_angle_alpha 90.00
_cell_angle_beta 90.00
_cell_angle_gamma 90.00
_space_group_name_H-M_alt 'I b a m'
_space_group_IT_number 72
_space_group_name_Hall '-I 2 2c'
loop_
_atom_site_label
_atom_site_type_symbol
_atom_site_fract_x
_atom_site_fract_y
_atom_site_fract_z
Ca1 Ca 0.2337 0.1290 0.0000
Si1 Si 0.0000 0.0000 0.2500
Si2 Si 0.0000 0.2696 0.2500
Si3 Si 0.1497 0.3882 0.0000
Pt1 Pt 0.0000 0.5000 0.2500
Pt2 Pt 0.1156 0.1358 0.5000
```

Principal peaks in the range 2θ from 15° to 90°, by angle:
Position (°2θ), intensity
17.60, 380
23.08, 729
24.33, 791
24.60, 929
27.63, 429
32.15, 802
34.27, 1000
43.40, 929
47.16, 586
47.76, 421